Diffraction record for LiCdAgGe. The X-ray powder pattern is calculated, not measured: it uses the PBE geometry in Alexandria and Cu Kα (λ = 1.5418 Å).

Atomic structure:
Cell lengths 4.597, 4.597, 4.597 Å; angles 114.98, 114.98, 98.93 degrees
Sites, in units of the cell vectors:
Li 0.000 0.000 0.000
Cd 0.250 0.750 0.500
Ag 0.750 0.250 0.500
Ge 0.500 0.500 0.000

The 8 most intense peaks (10° ≤ 2θ ≤ 90°), sorted by position:
d/Å	two_theta	I (rel.)
3.808	23.36	21
3.494	25.50	37
2.470	36.37	64
2.271	39.70	100
1.904	47.77	13
1.747	52.38	22
1.385	67.67	39
1.278	74.19	15